No. 1
Diffraction record for NaBCl4. The XRD peak list is calculated, not measured: it uses a crystal structure in Alexandria, relaxed with GGA-PBE and Cu Kα X-rays.
Kinematic intensities with the Lorentz-polarization factor, no thermal factor.

Crystal structure
Lattice parameters (Å, degrees): 6.639 6.757 7.270 90.00 91.08 90.00
Atoms (fractional coordinates):
Na 0.223 0.250 0.061
Na 0.777 0.750 0.939
B 0.273 0.750 0.808
B 0.727 0.250 0.192
Cl 0.112 0.526 0.765
Cl 0.112 0.974 0.765
Cl 0.363 0.750 0.054
Cl 0.488 0.750 0.651
Cl 0.512 0.250 0.349
Cl 0.637 0.250 0.946
Cl 0.888 0.026 0.235
Cl 0.888 0.474 0.235

Main lines, by angle (10 to 80 degrees two-theta):
- d = 7.269 Å, 12.18 deg, rel. 81.8
- d = 4.949 Å, 17.92 deg, rel. 89.2
- d = 4.856 Å, 18.27 deg, rel. 34.8
- d = 3.163 Å, 28.21 deg, rel. 30.3
- d = 3.041 Å, 29.37 deg, rel. 64.4
- d = 3.011 Å, 29.67 deg, rel. 100.0
- d = 2.474 Å, 36.31 deg, rel. 53.6
- d = 2.326 Å, 38.72 deg, rel. 61.5
- d = 2.262 Å, 39.85 deg, rel. 40.2
- d = 2.242 Å, 40.22 deg, rel. 44.7

---

No. 2
Diffraction record for Nd4BCl4. The XRD peak list is calculated, not measured: it uses a crystal structure in Alexandria, relaxed with GGA-PBE and Cu Kα X-rays.
Kinematic intensities with the Lorentz-polarization factor, no thermal factor.

Crystal structure
Lattice parameters (Å, degrees): 6.953 6.953 10.471 120.36 120.36 33.42
Atoms (fractional coordinates):
Nd 0.092 0.092 0.423
Nd 0.314 0.314 0.232
Nd 0.686 0.686 0.768
Nd 0.908 0.908 0.577
B 0.500 0.500 0.500
Cl 0.105 0.105 0.892
Cl 0.320 0.320 0.723
Cl 0.680 0.680 0.277
Cl 0.895 0.895 0.108

Main lines, by angle (10 to 80 degrees two-theta):
- d = 6.606 Å, 13.40 deg, rel. 25.7
- d = 3.490 Å, 25.52 deg, rel. 21.2
- d = 3.271 Å, 27.27 deg, rel. 47.5
- d = 3.233 Å, 27.59 deg, rel. 22.6
- d = 2.881 Å, 31.04 deg, rel. 100.0
- d = 2.842 Å, 31.47 deg, rel. 43.8
- d = 2.655 Å, 33.76 deg, rel. 22.7
- d = 2.082 Å, 43.47 deg, rel. 30.5
- d = 1.999 Å, 45.36 deg, rel. 19.3
- d = 1.969 Å, 46.09 deg, rel. 30.4

---

No. 3
Diffraction record for Nd3BCl3. The XRD peak list is calculated, not measured: it uses a crystal structure in Alexandria, relaxed with GGA-PBE and Cu Kα X-rays.
Kinematic intensities with the Lorentz-polarization factor, no thermal factor.

Crystal structure
Lattice parameters (Å, degrees): 9.860 9.860 9.860 109.47 109.47 109.47
Atoms (fractional coordinates):
Nd 0.013 0.027 0.263
Nd 0.013 0.487 0.750
Nd 0.027 0.263 0.013
Nd 0.237 0.263 0.750
Nd 0.237 0.473 0.487
Nd 0.263 0.013 0.027
Nd 0.263 0.750 0.237
Nd 0.473 0.487 0.237
Nd 0.487 0.237 0.473
Nd 0.487 0.750 0.013
Nd 0.750 0.013 0.487
Nd 0.750 0.237 0.263
B 0.000 0.250 0.500
B 0.250 0.250 0.250
B 0.250 0.500 0.000
B 0.500 0.000 0.250
Cl 0.250 0.754 0.746
Cl 0.250 0.996 0.504
Cl 0.504 0.250 0.996
Cl 0.504 0.754 0.508
Cl 0.508 0.504 0.754
Cl 0.746 0.250 0.754
Cl 0.746 0.996 0.992
Cl 0.754 0.508 0.504
Cl 0.754 0.746 0.250
Cl 0.992 0.746 0.996
Cl 0.996 0.504 0.250
Cl 0.996 0.992 0.746

Main lines, by angle (10 to 80 degrees two-theta):
- d = 8.051 Å, 10.99 deg, rel. 52.0
- d = 4.648 Å, 19.09 deg, rel. 16.1
- d = 3.287 Å, 27.13 deg, rel. 61.6
- d = 3.043 Å, 29.35 deg, rel. 41.8
- d = 2.846 Å, 31.43 deg, rel. 100.0
- d = 2.427 Å, 37.03 deg, rel. 21.7
- d = 2.013 Å, 45.04 deg, rel. 67.1
- d = 1.716 Å, 53.38 deg, rel. 25.7
- d = 1.643 Å, 55.95 deg, rel. 21.7
- d = 1.273 Å, 74.55 deg, rel. 24.0

---

No. 4
Diffraction record for NdB4ClO8. The XRD peak list is calculated, not measured: it uses a crystal structure in Alexandria, relaxed with GGA-PBE and Cu Kα X-rays.
Kinematic intensities with the Lorentz-polarization factor, no thermal factor.

Crystal structure
Lattice parameters (Å, degrees): 6.561 6.561 9.746 98.41 98.41 119.61
Atoms (fractional coordinates):
Nd 0.206 0.794 0.500
Nd 0.794 0.206 0.000
B 0.136 0.241 0.577
B 0.241 0.136 0.077
B 0.355 0.847 0.142
B 0.499 0.567 0.066
B 0.567 0.499 0.566
B 0.756 0.948 0.622
B 0.847 0.355 0.642
B 0.948 0.756 0.122
Cl 0.331 0.966 0.804
Cl 0.966 0.331 0.304
O 0.001 0.973 0.067
O 0.011 0.821 0.279
O 0.090 0.420 0.617
O 0.097 0.664 0.076
O 0.280 0.355 0.052
O 0.355 0.280 0.552
O 0.376 0.855 0.295
O 0.420 0.090 0.117
O 0.517 0.787 0.085
O 0.552 0.698 0.560
O 0.664 0.097 0.576
O 0.698 0.552 0.060
O 0.787 0.517 0.585
O 0.821 0.011 0.779
O 0.855 0.376 0.795
O 0.973 0.001 0.567

Main lines, by angle (10 to 80 degrees two-theta):
- d = 5.671 Å, 15.63 deg, rel. 66.7
- d = 5.386 Å, 16.46 deg, rel. 100.0
- d = 4.662 Å, 19.04 deg, rel. 75.7
- d = 4.295 Å, 20.68 deg, rel. 46.0
- d = 3.244 Å, 27.50 deg, rel. 31.4
- d = 3.061 Å, 29.18 deg, rel. 48.9
- d = 2.850 Å, 31.39 deg, rel. 26.8
- d = 2.455 Å, 36.61 deg, rel. 25.4
- d = 2.155 Å, 41.91 deg, rel. 30.3
- d = 2.149 Å, 42.05 deg, rel. 38.3